For MnSnAsPtI, the PBE geometry in Alexandria gives the simulated X-ray powder pattern in this record (λ = 1.5418 Å (Cu Kα)).
Neutral-atom scattering factors, no anomalous dispersion.

```
MnSnAsPtI
1.0
3.5415 0.0000 0.0000
0.0000 3.8047 0.0000
0.0000 0.0000 8.7063
Mn Sn As Pt I
1 1 1 1 1
Cartesian
0.0000 0.0000 0.0000
0.0000 1.9023 3.5596
1.7708 1.9023 0.6035
1.7708 0.0000 2.2617
1.7708 0.0000 6.4933
```

Main lines, by angle (10° ≤ 2θ ≤ 90°):
(0 0 1), d = 8.706 Å, 10.16°, intensity 100
(0 1 2), d = 2.865 Å, 31.22°, intensity 75
(1 0 2), d = 2.747 Å, 32.59°, intensity 83
(1 1 0), d = 2.592 Å, 34.60°, intensity 41
(1 1 1), d = 2.484 Å, 36.15°, intensity 54
(1 1 2), d = 2.227 Å, 40.50°, intensity 98
(0 1 4), d = 1.889 Å, 48.17°, intensity 37
(1 2 2), d = 1.564 Å, 59.08°, intensity 39